The following is a calculated PXRD pattern of Na2Ni2O5. It was derived from the GGA+U geometry in Alexandria, using Cu Kα, 1.54184 Å.
Neutral-atom scattering factors, no anomalous dispersion.

Most intense lines, 10 to 80 degrees two-theta, most intense first:
Position (°2θ)  I_rel  index
16.15  100  0 1 -1
42.03  24  2 -2 1
42.16  24  1 2 0
42.40  24  1 0 -3
57.46  13  1 -2 4
32.62  13  0 2 -2
13.75  7  0 0 1
37.15  7  1 0 2
19.01  7  1 0 0
37.23  6  -1 2 1

abc: 4.970 6.476 7.047
angles: 110.64 95.53 105.91
Positions (direct):
Na  0.000  0.000  0.000
Na  0.095  0.387  0.407
Na  0.335  0.284  0.808
Na  0.684  0.587  0.612
Ni  0.131  0.887  0.398
Ni  0.536  0.696  0.204
Ni  0.729  0.087  0.598
Ni  0.937  0.494  0.005
O  0.233  0.796  0.132
O  0.237  0.412  0.112
O  0.427  0.174  0.495
O  0.432  0.782  0.471
O  0.666  0.633  0.956
O  0.699  0.176  0.879
O  0.835  0.586  0.274
O  0.835  0.996  0.327
O  0.975  0.402  0.722
O  0.998  0.944  0.644